Starting from a crystal structure in Alexandria, relaxed with PBE+U, the powder diffraction line list of BaCaNiBiO6 was simulated for Cu Kα, 1.54184 Å.
Intensities are scaled so that the largest is 100.

Structure:
abc: 5.8188 5.8188 5.8188
angles: 60.00 60.00 60.00
Element x y z (fractional)
Ba 0.0000 0.0000 0.0000
Ca 0.5000 0.5000 0.5000
Ni 0.7500 0.7500 0.7500
Bi 0.2500 0.2500 0.2500
O 0.5058 0.5058 0.9942
O 0.5058 0.9942 0.5058
O 0.5058 0.9942 0.9942
O 0.9942 0.5058 0.5058
O 0.9942 0.5058 0.9942
O 0.9942 0.9942 0.5058

Largest 10 diffraction maxima, sorted by position, 10 to 90 degrees two-theta:
2theta  Rel. int.
18.68  33
21.60  12
30.73  100
36.20  22
44.02  32
48.20  10
54.64  40
64.00  19
72.67  18
89.02  22